Theoretical PXRD pattern
Compound: Li5Mn2Fe3P6O24
Radiation: Cu Kα X-rays
Structure: a structure optimized by DFT (PBE+U)

Structure:
Cell: 8.5395 8.6352 8.7171 Å, 60.85 60.99 61.76°
Space group P1 (No. 1)
Asymmetric unit:
Li 0.0000 0.0000 0.0000 x1
Li 0.0197 0.3521 0.8667 x1
Li 0.0938 0.8326 0.5448 x1
Li 0.1766 0.3373 0.5191 x1
Li 0.6716 0.5054 0.8231 x1
Mn 0.3753 0.6810 0.1689 x1
Mn 0.8489 0.1891 0.6794 x1
Fe 0.2180 0.5267 0.0231 x1
Fe 0.5058 0.8301 0.3228 x1
Fe 0.7144 0.0390 0.5237 x1
P 0.1096 0.1234 0.2198 x1
P 0.3058 0.9251 0.7106 x1
P 0.4182 0.4267 0.6285 x1
P 0.5986 0.2258 0.1439 x1
P 0.8072 0.7286 0.9263 x1
P 0.9090 0.6494 0.4190 x1
O 0.0484 0.1363 0.0770 x1
O 0.1156 0.5872 0.2831 x1
O 0.1265 0.1004 0.7127 x1
O 0.1752 0.2891 0.1556 x1
O 0.2456 0.3866 0.6648 x1
O 0.2615 0.9245 0.2627 x1
O 0.2686 0.7864 0.9184 x1
O 0.3221 0.8455 0.5776 x1
O 0.3949 0.4850 0.7830 x1
O 0.4545 0.5808 0.4312 x1
O 0.4644 0.4345 0.0899 x1
O 0.4867 0.9657 0.6532 x1
O 0.4919 0.0884 0.2268 x1
O 0.5996 0.2526 0.6243 x1
O 0.6127 0.7795 0.0774 x1
O 0.6672 0.2032 0.2892 x1
O 0.7597 0.2070 0.9579 x1
O 0.7598 0.7387 0.3269 x1
O 0.8125 0.5769 0.8807 x1
O 0.8255 0.9101 0.7507 x1
O 0.8801 0.4672 0.5855 x1
O 0.9045 0.7949 0.4777 x1
O 0.9544 0.1170 0.4171 x1
O 0.9757 0.6708 0.9862 x1

Peak list (10 most intense, 2θ from 10° to 80°, in order of falling intensity)
| d/Å | I_rel | h k l |
| --- | --- | --- |
| 3.750 | 100 | 0 1 2 |
| 4.399 | 72 | 0 1 -1 |
| 2.752 | 59 | 2 1 3 |
| 3.707 | 58 | 2 0 1 |
| 3.694 | 57 | 1 2 0 |
| 2.717 | 50 | 3 1 2 |
| 2.849 | 39 | 1 0 -2 |
| 4.376 | 38 | 1 0 -1 |
| 2.764 | 32 | 1 2 3 |
| 2.545 | 27 | 1 -2 1 |

Theoretical PXRD pattern
Compound: Li4Mn3FeP4O16
Radiation: Cu Kα X-rays
Structure: a structure optimized by DFT (PBE+U)

Structure:
Cell: 7.7876 7.7884 10.5604 Å, 90.06 90.05 104.20°
Space group P-1 (No. 2)
Asymmetric unit:
Li 0.0000 0.0000 0.0000 x1
Li 0.0000 0.5000 0.5000 x1
Li 0.2494 0.2482 0.4985 x2
Li 0.2496 0.7520 0.9989 x2
Li 0.5000 0.0000 0.5000 x1
Li 0.5000 0.5000 0.0000 x1
Mn 0.1374 0.8872 0.7194 x2
Mn 0.1383 0.3879 0.7808 x2
Mn 0.3640 0.6138 0.2810 x2
Fe 0.3611 0.1106 0.2184 x2
P 0.0814 0.8311 0.4071 x2
P 0.0835 0.3312 0.0922 x2
P 0.4190 0.1667 0.9090 x2
P 0.4218 0.6716 0.5941 x2
O 0.0204 0.7700 0.5436 x2
O 0.0212 0.2689 0.9562 x2
O 0.0837 0.6359 0.8378 x2
O 0.0864 0.1356 0.6621 x2
O 0.1150 0.6635 0.3378 x2
O 0.1203 0.1654 0.1622 x2
O 0.2417 0.9918 0.4030 x2
O 0.2426 0.4932 0.0951 x2
O 0.2569 0.0075 0.9050 x2
O 0.2609 0.5110 0.5983 x2
O 0.3863 0.3340 0.8389 x2
O 0.3882 0.8393 0.6631 x2
O 0.4107 0.3623 0.3368 x2
O 0.4151 0.8698 0.1612 x2
O 0.4809 0.2286 0.0452 x2
O 0.4813 0.7309 0.4570 x2

Peak list (10 most intense, 2θ from 10° to 80°, in order of falling intensity)
| d/Å | I_rel | h k l |
| --- | --- | --- |
| 2.574 | 100 | 2 0 -3 |
| 3.553 | 86 | 2 0 -1 |
| 3.072 | 76 | 2 -2 0 |
| 4.358 | 57 | 1 1 1 |
| 2.511 | 30 | 3 -1 1 |
| 1.527 | 27 | 2 -2 6 |
| 5.280 | 26 | 0 0 2 |
| 2.835 | 26 | 1 1 3 |
| 1.776 | 25 | 4 0 2 |
| 1.660 | 24 | 2 -4 3 |

Theoretical PXRD pattern
Compound: Li4Mn3FeP4O16
Radiation: Cu Kα X-rays
Structure: a structure optimized by DFT (PBE+U)

Structure:
Cell: 21.1080 12.2964 4.7836 Å, 90.00 90.01 90.00°
Space group Cm (No. 8)
Asymmetric unit:
Li 0.0000 0.1233 0.0000 x4
Li 0.2488 0.1240 0.5040 x4
Li 0.2503 0.3746 0.5063 x4
Li 0.4992 0.1259 0.0022 x4
Mn 0.1088 0.2491 0.4781 x4
Mn 0.1401 0.5000 0.9797 x2
Mn 0.3589 0.2504 0.0286 x4
Mn 0.3892 0.0000 0.5284 x2
Fe 0.1398 0.0000 0.9742 x2
Fe 0.3906 0.5000 0.5303 x2
P 0.0450 0.5000 0.4139 x2
P 0.0461 0.0000 0.4116 x2
P 0.2031 0.2491 0.9179 x4
P 0.2944 0.0000 0.0915 x2
P 0.2969 0.5000 0.0964 x2
P 0.4530 0.2515 0.5886 x4
O 0.0211 0.2483 0.7128 x4
O 0.0470 0.5000 0.7352 x2
O 0.0486 0.0000 0.7332 x2
O 0.0804 0.1005 0.2759 x4
O 0.0799 0.3994 0.2815 x4
O 0.1681 0.1480 0.7881 x4
O 0.1682 0.3494 0.7841 x4
O 0.2016 0.2500 0.2391 x4
O 0.2261 0.0000 0.2131 x2
O 0.2282 0.5000 0.2153 x2
O 0.2712 0.2493 0.7938 x4
O 0.2968 0.0000 0.7702 x2
O 0.2992 0.5000 0.7749 x2
O 0.3293 0.1005 0.2246 x4
O 0.3314 0.3995 0.2317 x4
O 0.4181 0.1514 0.7227 x4
O 0.4180 0.3530 0.7176 x4
O 0.4515 0.2503 0.2674 x4
O 0.4768 0.0000 0.2914 x2
O 0.4772 0.5000 0.2936 x2

Peak list (10 most intense, 2θ from 10° to 80°, in order of falling intensity)
| d/Å | I_rel | h k l |
| --- | --- | --- |
| 2.574 | 100 | 6 2 1 |
| 3.553 | 87 | 2 2 1 |
| 3.074 | 76 | 0 4 0 |
| 4.357 | 58 | 2 0 -1 |
| 1.777 | 35 | 4 4 2 |
| 2.512 | 30 | 2 4 -1 |
| 1.527 | 27 | 12 4 0 |
| 5.277 | 26 | 4 0 0 |
| 2.834 | 26 | 6 0 -1 |
| 1.661 | 24 | 6 6 1 |

Theoretical PXRD pattern
Compound: Li8MnFe7P8O32
Radiation: Cu Kα X-rays
Structure: a structure optimized by DFT (PBE+U)

Structure:
Cell: 4.7516 12.1632 10.4043 Å, 90.00 90.27 90.00°
Space group Pm (No. 6)
Asymmetric unit:
Li 0.0000 0.1248 0.0000 x2
Li 0.5029 0.1259 0.5002 x2
Li 0.5036 0.3742 0.5037 x2
Li 0.9972 0.3744 0.0002 x2
Mn 0.4787 0.0000 0.7785 x1
Fe 0.0250 0.5000 0.2819 x1
Fe 0.0272 0.0000 0.2813 x1
Fe 0.4688 0.5000 0.7825 x1
Fe 0.5266 0.2502 0.2196 x2
Fe 0.9756 0.2503 0.7215 x2
P 0.0846 0.2503 0.4073 x2
P 0.4159 0.2500 0.9079 x2
P 0.5792 0.5000 0.0935 x1
P 0.5819 0.0000 0.0940 x1
P 0.9193 0.0000 0.5958 x1
P 0.9194 0.5000 0.5987 x1
O 0.2097 0.2503 0.5456 x2
O 0.2173 0.1485 0.3366 x2
O 0.2171 0.3519 0.3363 x2
O 0.2431 0.0000 0.5993 x1
O 0.2436 0.5000 0.6043 x1
O 0.2560 0.5000 0.0970 x1
O 0.2586 0.0000 0.0972 x1
O 0.2809 0.1484 0.8373 x2
O 0.2825 0.3517 0.8367 x2
O 0.2916 0.2503 0.0459 x2
O 0.6989 0.5000 0.9545 x1
O 0.7042 0.0000 0.9556 x1
O 0.7153 0.3987 0.1646 x2
O 0.7164 0.1014 0.1653 x2
O 0.7392 0.2498 0.9058 x2
O 0.7610 0.2502 0.4049 x2
O 0.7847 0.3985 0.6686 x2
O 0.7862 0.1015 0.6669 x2
O 0.7954 0.0000 0.4575 x1
O 0.7994 0.5000 0.4596 x1

Peak list (10 most intense, 2θ from 10° to 80°, in order of falling intensity)
| d/Å | I_rel | h k l |
| --- | --- | --- |
| 3.523 | 100 | 1 2 1 |
| 3.041 | 84 | 0 4 0 |
| 4.322 | 69 | 1 0 -1 |
| 2.549 | 60 | 1 2 -3 |
| 2.540 | 59 | 1 2 3 |
| 5.202 | 38 | 0 0 2 |
| 2.487 | 35 | 1 4 -1 |
| 1.759 | 26 | 2 4 2 |
| 2.391 | 23 | 0 2 4 |
| 3.953 | 22 | 0 2 2 |

Theoretical PXRD pattern
Compound: Li6MnFe3P6O24
Radiation: Cu Kα X-rays
Structure: a structure optimized by DFT (PBE+U)

Structure:
Cell: 8.5393 8.5493 8.6952 Å, 91.30 118.68 118.82°
Space group P1 (No. 1)
Asymmetric unit:
Li 0.0000 0.0000 0.0000 x1
Li 0.0054 0.8468 0.6191 x1
Li 0.1155 0.2908 0.6943 x1
Li 0.2461 0.6104 0.3639 x1
Li 0.7576 0.2393 0.2528 x1
Li 0.8911 0.5617 0.9317 x1
Mn 0.7102 0.0691 0.6691 x1
Fe 0.2810 0.2787 0.4500 x1
Fe 0.2902 0.7761 0.9528 x1
Fe 0.7178 0.5669 0.1697 x1
P 0.1970 0.8768 0.2544 x1
P 0.2165 0.4026 0.0732 x1
P 0.4768 0.1687 0.8327 x1
P 0.5229 0.6758 0.7851 x1
P 0.7881 0.4427 0.5512 x1
P 0.7948 0.9664 0.3631 x1
O 0.0148 0.6715 0.2187 x1
O 0.0697 0.2176 0.9079 x1
O 0.1540 0.0274 0.2821 x1
O 0.1585 0.5489 0.0205 x1
O 0.1789 0.3637 0.2300 x1
O 0.1818 0.8755 0.0669 x1
O 0.3231 0.9622 0.8132 x1
O 0.3289 0.2219 0.6904 x1
O 0.3560 0.6483 0.8264 x1
O 0.3903 0.5471 0.5825 x1
O 0.4020 0.9045 0.4171 x1
O 0.4511 0.4888 0.1401 x1
O 0.5601 0.3676 0.4956 x1
O 0.5881 0.9346 0.1936 x1
O 0.6079 0.2992 0.0345 x1
O 0.6492 0.1972 0.7975 x1
O 0.6718 0.6233 0.9269 x1
O 0.6791 0.8837 0.8064 x1
O 0.8011 0.9615 0.5471 x1
O 0.8190 0.4772 0.3907 x1
O 0.8408 0.2924 0.6014 x1
O 0.8449 0.8202 0.3405 x1
O 0.9495 0.6307 0.7182 x1
O 0.9763 0.1722 0.4015 x1

Peak list (10 most intense, 2θ from 10° to 80°, in order of falling intensity)
| d/Å | I_rel | h k l |
| --- | --- | --- |
| 4.270 | 100 | -2 1 1 |
| 4.383 | 96 | 1 -1 1 |
| 6.171 | 66 | 0 1 -1 |
| 3.696 | 54 | 2 0 -1 |
| 3.767 | 52 | 1 0 1 |
| 3.639 | 51 | -2 1 2 |
| 3.082 | 46 | 0 2 -2 |
| 3.654 | 42 | -1 2 1 |
| 3.098 | 38 | 2 0 0 |
| 2.520 | 36 | 1 2 0 |

Theoretical PXRD pattern
Compound: Li4Mn3Fe3Sb2O16
Radiation: Cu Kα X-rays
Structure: a structure optimized by DFT (PBE+U)

Structure:
Cell: 10.4586 5.9600 9.7982 Å, 90.00 91.32 90.00°
Space group Cm (No. 8)
Asymmetric unit:
Li 0.0000 0.0000 0.0000 x2
Li 0.0053 0.0000 0.4993 x2
Li 0.1689 0.5000 0.0836 x2
Li 0.3417 0.0000 0.5816 x2
Mn 0.0900 0.2537 0.7759 x4
Mn 0.1742 0.0000 0.2772 x2
Fe 0.3353 0.5000 0.7723 x2
Fe 0.4191 0.2458 0.2735 x4
Sb 0.1751 0.5000 0.5018 x2
Sb 0.3357 0.0000 0.0024 x2
O 0.0083 0.0000 0.6879 x2
O 0.0096 0.0000 0.1873 x2
O 0.0275 0.5000 0.6412 x2
O 0.0860 0.2531 0.3956 x4
O 0.1657 0.0000 0.8965 x2
O 0.1681 0.5000 0.8739 x2
O 0.2536 0.2781 0.6369 x4
O 0.2656 0.2265 0.1387 x4
O 0.3347 0.0000 0.3767 x2
O 0.3373 0.5000 0.3887 x2
O 0.4140 0.2499 0.8942 x4
O 0.4857 0.0000 0.1421 x2

Peak list (10 most intense, 2θ from 10° to 80°, in order of falling intensity)
| d/Å | I_rel | h k l |
| --- | --- | --- |
| 4.560 | 100 | 1 1 1 |
| 2.543 | 78 | 3 1 2 |
| 4.600 | 71 | 1 1 -1 |
| 2.587 | 51 | 3 1 -2 |
| 2.746 | 38 | 2 0 3 |
| 4.657 | 35 | 2 0 -1 |
| 1.504 | 33 | 6 2 0 |
| 3.537 | 32 | 2 0 2 |
| 2.510 | 31 | 4 0 1 |
| 2.018 | 30 | 4 0 3 |